The following is a computed PXRD pattern of Rb2Pr2MgW4O16. It was derived from a structure optimized by DFT (PBE+U), using Cu Kα, 1.54184 Å.
Lines closer than 0.1° are merged.

Largest 8 diffraction maxima, in order of rising 2θ, 2θ from 15° to 90°:
24.7°, I 50
25.5°, I 46
27.3°, I 82
28.4°, I 81
28.8°, I 84
30.8°, I 100
31.5°, I 36
48.0°, I 55

Cell and atoms:
```
data_Rb2Pr2MgW4O16
_cell_length_a 7.592
_cell_length_b 7.614
_cell_length_c 8.295
_cell_angle_alpha 87.35
_cell_angle_beta 63.02
_cell_angle_gamma 61.58
_symmetry_space_group_name_H-M 'P 1'
_symmetry_Int_Tables_number 1
_symmetry_space_group_name_Hall 'P 1'
loop_
_atom_site_label
_atom_site_type_symbol
_atom_site_fract_x
_atom_site_fract_y
_atom_site_fract_z
Rb1 Rb 0.000 0.000 0.000
Rb2 Rb 0.391 0.495 0.745
Pr1 Pr 0.454 0.006 0.075
Pr2 Pr 0.918 0.511 0.677
Mg1 Mg 0.567 0.253 0.363
W1 W 0.367 0.576 0.191
W2 W 0.489 0.948 0.557
W3 W 0.873 0.552 0.204
W4 W 0.986 0.957 0.556
O1 O 0.070 0.283 0.186
O2 O 0.106 0.624 0.148
O3 O 0.148 0.634 0.462
O4 O 0.201 0.899 0.288
O5 O 0.236 0.888 0.606
O6 O 0.299 0.240 0.555
O7 O 0.414 0.980 0.803
O8 O 0.495 0.275 0.153
O9 O 0.534 0.624 0.964
O10 O 0.620 0.486 0.271
O11 O 0.625 0.869 0.274
O12 O 0.738 0.037 0.482
O13 O 0.738 0.636 0.484
O14 O 0.821 0.896 0.777
O15 O 0.868 0.231 0.631
O16 O 0.925 0.551 0.963
```